# 1
Computed X-ray diffraction stick pattern of SmSi3Rh5 for CuKα, from a PBE-relaxed structure.

Atomic structure:
```
SmSi3Rh5
1.0
15.707 0.000 0.000
-7.854 13.603 0.000
0.000 0.000 3.904
Sm Si Rh
6 18 30
direct
0.100 0.706 0.250 Sm
0.294 0.394 0.250 Sm
0.394 0.100 0.750 Sm
0.606 0.900 0.250 Sm
0.706 0.606 0.750 Sm
0.900 0.294 0.750 Sm
0.063 0.433 0.250 Si
0.120 0.871 0.750 Si
0.129 0.249 0.750 Si
0.241 0.681 0.750 Si
0.249 0.120 0.250 Si
0.319 0.559 0.750 Si
0.371 0.937 0.250 Si
0.433 0.371 0.750 Si
0.441 0.759 0.750 Si
0.559 0.241 0.250 Si
0.567 0.629 0.250 Si
0.629 0.063 0.750 Si
0.681 0.441 0.250 Si
0.751 0.880 0.750 Si
0.759 0.319 0.250 Si
0.871 0.751 0.250 Si
0.880 0.129 0.250 Si
0.937 0.567 0.750 Si
0.030 0.887 0.250 Rh
0.044 0.271 0.250 Rh
0.075 0.538 0.750 Rh
0.113 0.143 0.250 Rh
0.143 0.030 0.750 Rh
0.152 0.415 0.750 Rh
0.224 0.572 0.250 Rh
0.227 0.956 0.250 Rh
0.262 0.848 0.750 Rh
0.271 0.227 0.750 Rh
0.348 0.776 0.250 Rh
0.415 0.262 0.250 Rh
0.428 0.652 0.250 Rh
0.462 0.537 0.750 Rh
0.463 0.925 0.750 Rh
0.537 0.075 0.250 Rh
0.538 0.463 0.250 Rh
0.572 0.348 0.750 Rh
0.585 0.738 0.750 Rh
0.652 0.224 0.750 Rh
0.729 0.773 0.250 Rh
0.738 0.152 0.250 Rh
0.773 0.044 0.750 Rh
0.776 0.428 0.750 Rh
0.848 0.585 0.250 Rh
0.857 0.970 0.250 Rh
0.887 0.857 0.750 Rh
0.925 0.462 0.250 Rh
0.956 0.729 0.750 Rh
0.970 0.113 0.750 Rh
```

Largest 8 diffraction maxima, low angle first, 2θ = 10–80°:
(3 2 0), 2θ 28.60, d = 3.121 Å, I 17
(4 0 1), 2θ 34.96, d = 2.567 Å, I 13
(3 2 1), 2θ 36.87, d = 2.438 Å, I 100
(0 0 2), 2θ 46.52, d = 1.952 Å, I 19
(5 3 0), 2θ 46.75, d = 1.943 Å, I 11
(1 7 0), 2θ 50.67, d = 1.802 Å, I 15
(1 7 2), 2θ 71.22, d = 1.324 Å, I 11
(3 2 3), 2θ 79.85, d = 1.201 Å, I 10



# 2
Computed X-ray diffraction stick pattern of Sm6Si19Rh30 for CuKα, from a PBE-relaxed structure.

Atomic structure:
```
Sm6Si19Rh30
1.0
15.848 0.000 0.000
-7.924 13.724 0.000
0.000 0.000 3.881
Sm Si Rh
6 19 30
direct
0.037 0.767 0.000 Sm
0.233 0.270 0.000 Sm
0.433 0.062 0.500 Sm
0.629 0.567 0.500 Sm
0.730 0.963 0.000 Sm
0.938 0.371 0.500 Sm
0.015 0.908 0.500 Si
0.079 0.534 0.000 Si
0.092 0.107 0.500 Si
0.201 0.789 0.500 Si
0.211 0.412 0.500 Si
0.269 0.038 0.000 Si
0.333 0.667 0.916 Si
0.397 0.296 0.500 Si
0.455 0.921 0.000 Si
0.466 0.545 0.000 Si
0.574 0.226 0.000 Si
0.588 0.799 0.500 Si
0.652 0.426 0.000 Si
0.704 0.101 0.500 Si
0.769 0.731 0.000 Si
0.774 0.348 0.000 Si
0.893 0.985 0.500 Si
0.899 0.603 0.500 Si
0.962 0.231 0.000 Si
0.058 0.622 0.499 Rh
0.069 0.249 0.500 Rh
0.103 0.392 0.001 Rh
0.109 0.016 0.000 Rh
0.180 0.931 0.500 Rh
0.187 0.549 0.503 Rh
0.206 0.699 0.998 Rh
0.258 0.130 0.499 Rh
0.290 0.897 0.001 Rh
0.301 0.508 0.998 Rh
0.362 0.813 0.503 Rh
0.378 0.436 0.499 Rh
0.408 0.203 0.000 Rh
0.451 0.638 0.503 Rh
0.487 0.403 0.999 Rh
0.492 0.794 0.998 Rh
0.557 0.318 0.500 Rh
0.564 0.942 0.499 Rh
0.597 0.084 0.999 Rh
0.608 0.710 0.001 Rh
0.682 0.240 0.500 Rh
0.751 0.820 0.500 Rh
0.760 0.443 0.500 Rh
0.795 0.592 0.000 Rh
0.797 0.205 0.000 Rh
0.870 0.128 0.499 Rh
0.872 0.742 0.499 Rh
0.906 0.891 0.000 Rh
0.916 0.513 0.999 Rh
0.984 0.094 0.000 Rh
```

Largest 8 diffraction maxima, low angle first, 2θ = 10–80°:
(2 3 0), 2θ 28.35, d = 3.149 Å, I 16
(3 -1 1), 2θ 28.73, d = 3.108 Å, I 9
(4 0 1), 2θ 34.90, d = 2.571 Å, I 9
(2 3 1), 2θ 36.76, d = 2.445 Å, I 100
(3 5 0), 2θ 46.31, d = 1.961 Å, I 12
(0 0 2), 2θ 46.81, d = 1.941 Å, I 19
(7 1 0), 2θ 50.19, d = 1.818 Å, I 16
(7 1 2), 2θ 71.05, d = 1.327 Å, I 11



# 3
Computed X-ray diffraction stick pattern of SmSi3Rh for CuKα, from a PBE-relaxed structure.

Atomic structure:
```
SmSi3Rh
1.0
4.205 0.000 0.000
0.000 4.205 0.000
0.000 0.000 9.843
Sm Si Rh
2 6 2
direct
0.000 0.000 0.000 Sm
0.500 0.500 0.500 Sm
0.000 0.000 0.415 Si
0.000 0.500 0.264 Si
0.000 0.500 0.764 Si
0.500 0.000 0.264 Si
0.500 0.000 0.764 Si
0.500 0.500 0.915 Si
0.000 0.000 0.655 Rh
0.500 0.500 0.155 Rh
```

Largest 8 diffraction maxima, low angle first, 2θ = 10–80°:
(1 0 1), 2θ 23.00, d = 3.867 Å, I 42
(1 1 0), 2θ 30.05, d = 2.974 Å, I 58
(1 0 3), 2θ 34.68, d = 2.587 Å, I 100
(1 1 2), 2θ 35.26, d = 2.545 Å, I 59
(2 0 0), 2θ 43.02, d = 2.103 Å, I 49
(1 0 5), 2θ 51.24, d = 1.783 Å, I 20
(2 1 3), 2θ 56.39, d = 1.632 Å, I 49
(1 1 6), 2θ 64.92, d = 1.436 Å, I 18